Structure and computed powder XRD pattern of NiIr2W (the GGA-PBE geometry in Alexandria; Cu Kα, 1.54184 Å).
Neutral-atom scattering factors, no anomalous dispersion.

Most intense lines, 2θ from 5° to 70°, most intense first:
| hkl | 2theta | I/Imax |
| --- | --- | --- |
| 1 1 0 | 40.6 | 100.0 |
| 0 1 2 | 40.9 | 95.3 |
| 0 2 0 | 47.4 | 94.7 |
| 1 2 2 | 69.3 | 40.3 |
| 0 1 1 | 28.5 | 17.2 |
| 2 0 0 | 69.0 | 10.5 |
| 0 0 4 | 69.7 | 9.0 |
| 1 0 1 | 37.0 | 8.8 |
| 0 0 1 | 16.4 | 8.2 |
| 0 1 0 | 23.2 | 7.2 |

a = 2.7233 Å, b = 3.8385 Å, c = 5.3969 Å
α = 90.00°, β = 90.00°, γ = 90.00°
Fractional positions:
Ni (0.0000, 0.0000, 0.0000)
Ir (0.0000, 0.0000, 0.4984)
Ir (0.5000, 0.5000, 0.7751)
W (0.5000, 0.5000, 0.2417)